No. 1
TcRu: theoretical powder diffractogram (Cu Kα (λ = 1.5418 Å)), based on DFT lattice parameters and positions (GGA-PBE).
Neutral-atom scattering factors, no anomalous dispersion.

Structure:
Cell: 2.7475 2.7475 4.3487 Å, 90.00 90.00 120.00°
Space group P-6m2 (No. 187)
Asymmetric unit:
Tc  0.0000  0.0000  0.0000 x1
Ru  0.3333  0.6667  0.5000 x1

Principal peaks in the range 2θ from 10° to 90°, in order of rising 2θ:
- 37.81 deg, d 2.379, I = 25, (1 0 0)
- 41.53 deg, d 2.174, I = 25, (0 0 2)
- 43.35 deg, d 2.087, I = 100, (1 0 1)
- 57.41 deg, d 1.605, I = 14, (1 0 2)
- 68.27 deg, d 1.374, I = 17, (1 1 0)
- 77.03 deg, d 1.238, I = 18, (1 0 3)
- 80.78 deg, d 1.190, I = 3, (2 0 0)
- 83.18 deg, d 1.161, I = 19, (1 1 2)
- 84.41 deg, d 1.148, I = 14, (2 0 1)


No. 2
MgSn5: theoretical powder diffractogram (Cu Kα (λ = 1.5418 Å)), based on DFT lattice parameters and positions (GGA-PBE).
Neutral-atom scattering factors, no anomalous dispersion.

Structure:
Cell: 5.8660 5.8660 5.4039 Å, 90.00 90.00 120.00°
Space group P-62m (No. 189)
Asymmetric unit:
Mg  0.0000  0.0000  0.0000 x1
Sn  0.0000  0.6748  0.5000 x3
Sn  0.3333  0.6667  0.0000 x2

Principal peaks in the range 2θ from 10° to 90°, in order of rising 2θ:
- 17.46 deg, d 5.080, I = 6, (1 0 0)
- 24.04 deg, d 3.701, I = 9, (1 0 1)
- 30.48 deg, d 2.933, I = 25, (1 1 0)
- 33.16 deg, d 2.702, I = 25, (0 0 2)
- 34.80 deg, d 2.578, I = 100, (1 1 1)
- 45.65 deg, d 1.987, I = 17, (1 1 2)
- 54.16 deg, d 1.693, I = 19, (3 0 0)
- 60.30 deg, d 1.535, I = 21, (1 1 3)
- 65.00 deg, d 1.435, I = 22, (3 0 2)
- 66.01 deg, d 1.415, I = 16, (2 2 1)
- 73.47 deg, d 1.289, I = 4, (2 2 2)
- 85.36 deg, d 1.137, I = 9, (2 2 3)


No. 3
Te6Mo3WS2: theoretical powder diffractogram (Cu Kα (λ = 1.5418 Å)), based on DFT lattice parameters and positions (GGA-PBE).
Neutral-atom scattering factors, no anomalous dispersion.

Structure:
Cell: 3.4556 3.4556 39.3212 Å, 90.00 90.00 120.00°
Space group P3m1 (No. 156)
Asymmetric unit:
Te  0.0000  0.0000  0.0000 x1
Te  0.0000  0.0000  0.0941 x1
Te  0.0000  0.0000  0.3759 x1
Te  0.0000  0.0000  0.4700 x1
Te  0.3333  0.6667  0.1878 x1
Te  0.3333  0.6667  0.2823 x1
Mo  0.0000  0.0000  0.8593 x1
Mo  0.3333  0.6667  0.0471 x1
Mo  0.3333  0.6667  0.4230 x1
W  0.0000  0.0000  0.2350 x1
S  0.3333  0.6667  0.8214 x1
S  0.3333  0.6667  0.8972 x1

Principal peaks in the range 2θ from 10° to 90°, in order of rising 2θ:
- 11.25 deg, d 7.864, I = 87, (0 0 5)
- 29.88 deg, d 2.990, I = 60, (1 0 0)
- 33.94 deg, d 2.641, I = 17, (0 1 7)
- 35.11 deg, d 2.556, I = 100, (1 0 8)
- 36.39 deg, d 2.469, I = 25, (1 0 9)
- 42.49 deg, d 2.127, I = 59, (0 1 13)
- 44.23 deg, d 2.048, I = 20, (1 0 14)
- 53.01 deg, d 1.727, I = 43, (1 1 0)
- 65.17 deg, d 1.431, I = 16, (0 2 8)
- 70.17 deg, d 1.341, I = 13, (2 0 13)
- 74.76 deg, d 1.270, I = 19, (1 1 21)
- 88.75 deg, d 1.102, I = 14, (2 1 8)


No. 4
SiO2: theoretical powder diffractogram (Cu Kα (λ = 1.5418 Å)), based on DFT lattice parameters and positions (GGA-PBE).
Neutral-atom scattering factors, no anomalous dispersion.

Structure:
Cell: 5.1054 5.1054 5.5914 Å, 90.00 90.00 120.00°
Space group P6_422 (No. 181)
Asymmetric unit:
Si  0.0000  0.5000  0.3333 x3
O  0.2083  0.4165  0.5000 x6

Principal peaks in the range 2θ from 10° to 90°, in order of rising 2θ:
- 20.08 deg, d 4.421, I = 17, (1 0 0)
- 25.69 deg, d 3.468, I = 100, (1 0 1)
- 35.16 deg, d 2.553, I = 4, (1 1 0)
- 40.82 deg, d 2.211, I = 3, (2 0 0)
- 44.05 deg, d 2.056, I = 4, (2 0 1)
- 48.28 deg, d 1.885, I = 20, (1 1 2)
- 57.56 deg, d 1.601, I = 8, (2 1 1)
- 65.02 deg, d 1.434, I = 4, (2 1 2)
- 65.50 deg, d 1.425, I = 10, (2 0 3)
- 76.57 deg, d 1.244, I = 5, (2 1 3)
- 77.92 deg, d 1.226, I = 5, (1 1 4)
- 80.12 deg, d 1.198, I = 6, (3 1 1)


No. 5
TmBRh3: theoretical powder diffractogram (Cu Kα (λ = 1.5418 Å)), based on DFT lattice parameters and positions (GGA-PBE).
Neutral-atom scattering factors, no anomalous dispersion.

Structure:
Cell: 4.187 4.187 4.187 Å, 90.00 90.00 90.00°
Space group Pm-3m (No. 221)
Asymmetric unit:
Tm  0.000  0.000  0.000 x1
B  0.500  0.500  0.500 x1
Rh  0.000  0.500  0.500 x3

Principal peaks in the range 2θ from 10° to 90°, in order of rising 2θ:
- 21.22 deg, d 4.187, I = 3, (1 0 0)
- 30.19 deg, d 2.961, I = 6, (1 1 0)
- 37.19 deg, d 2.417, I = 100, (1 1 1)
- 43.21 deg, d 2.094, I = 52, (2 0 0)
- 48.62 deg, d 1.873, I = 2, (2 1 0)
- 53.61 deg, d 1.709, I = 2, (2 1 1)
- 62.77 deg, d 1.480, I = 34, (2 2 0)
- 67.06 deg, d 1.396, I = 1, (3 0 0)
- 71.21 deg, d 1.324, I = 1, (3 1 0)
- 75.27 deg, d 1.262, I = 38, (3 1 1)
- 79.26 deg, d 1.209, I = 12, (2 2 2)
- 87.09 deg, d 1.119, I = 1, (3 2 1)


No. 6
VPS3: theoretical powder diffractogram (Cu Kα (λ = 1.5418 Å)), based on DFT lattice parameters and positions (GGA-PBE).
Neutral-atom scattering factors, no anomalous dispersion.

Structure:
Cell: 5.934 10.308 6.922 Å, 90.00 106.61 90.00°
Space group C2/m (No. 12)
Asymmetric unit:
V  0.000  0.169  0.000 x4
P  0.055  0.500  0.164 x4
S  0.238  0.000  0.234 x4
S  0.248  0.330  0.234 x8

Principal peaks in the range 2θ from 10° to 90°, in order of rising 2θ:
- 13.35 deg, d 6.634, I = 100, (0 0 1)
- 26.88 deg, d 3.317, I = 12, (0 0 2)
- 30.42 deg, d 2.939, I = 37, (1 3 0)
- 35.18 deg, d 2.551, I = 100, (2 0 -2)
- 47.66 deg, d 1.908, I = 15, (1 3 -3)
- 47.71 deg, d 1.906, I = 10, (2 0 2)
- 53.32 deg, d 1.718, I = 12, (0 6 0)
- 53.45 deg, d 1.714, I = 24, (3 3 -1)
- 55.37 deg, d 1.659, I = 13, (0 0 4)
- 65.53 deg, d 1.425, I = 9, (2 6 -2)
- 80.61 deg, d 1.192, I = 8, (3 3 3)
- 84.43 deg, d 1.147, I = 8, (1 3 5)


No. 7
Ti3V2Si3: theoretical powder diffractogram (Cu Kα (λ = 1.5418 Å)), based on DFT lattice parameters and positions (GGA-PBE).
Neutral-atom scattering factors, no anomalous dispersion.

Structure:
Cell: 7.3374 7.3374 4.9409 Å, 90.00 90.00 120.00°
Space group P6_3/mcm (No. 193)
Asymmetric unit:
Ti  0.0000  0.2448  0.2500 x6
V  0.3333  0.6667  0.0000 x4
Si  0.0000  0.3996  0.7500 x6

Principal peaks in the range 2θ from 10° to 90°, in order of rising 2θ:
- 28.08 deg, d 3.177, I = 11, (2 0 0)
- 36.37 deg, d 2.470, I = 11, (0 0 2)
- 37.44 deg, d 2.402, I = 43, (2 1 0)
- 39.12 deg, d 2.303, I = 23, (1 0 2)
- 41.82 deg, d 2.160, I = 100, (2 1 1)
- 42.69 deg, d 2.118, I = 44, (3 0 0)
- 44.20 deg, d 2.049, I = 77, (1 1 2)
- 63.13 deg, d 1.473, I = 17, (2 2 2)
- 67.55 deg, d 1.387, I = 11, (4 1 0)
- 69.16 deg, d 1.358, I = 20, (2 1 3)
- 70.47 deg, d 1.336, I = 15, (4 0 2)
- 86.03 deg, d 1.130, I = 12, (5 0 2)